Record 1
Structure and theoretical powder diffractogram of Er3Tm3ZnTc2 (the GGA-PBE geometry in Alexandria; Cu Kα).
Lines closer than 0.1° are merged.

The 6 most intense peaks (10° ≤ 2θ ≤ 90°), low angle first:
2θ (°)	d (Å)	Rel. int.	(hkl)
32.45	2.759	1000	1 1 1
34.10	2.630	359	2 1 0
34.98	2.565	472	2 0 1
38.83	2.319	430	3 0 0
63.19	1.471	254	3 2 1
63.31	1.469	203	3 0 2

Structure:
```
data_Er3Tm3ZnTc2
_cell_length_a 8.0336
_cell_length_b 8.0336
_cell_length_c 3.7969
_cell_angle_alpha 90.00
_cell_angle_beta 90.00
_cell_angle_gamma 120.00
_symmetry_space_group_name_H-M 'P -6 2 m'
_symmetry_Int_Tables_number 189
_symmetry_space_group_name_Hall 'P -6 -2'
loop_
_atom_site_label
_atom_site_fract_x
_atom_site_fract_y
_atom_site_fract_z
Er1 0.0000 0.2793 0.0000
Tm1 0.0000 0.6026 0.5000
Zn1 0.0000 0.0000 0.5000
Tc1 0.3333 0.6667 0.0000
```



Record 2
Structure and theoretical powder diffractogram of ErTcW (the GGA-PBE geometry in Alexandria; Cu Kα).
Lines closer than 0.1° are merged.

The 6 most intense peaks (10° ≤ 2θ ≤ 90°), low angle first:
2θ (°)	d (Å)	Rel. int.	(hkl)
32.98	2.716	467	1 1 2
38.51	2.338	524	1 2 1
38.67	2.329	1000	2 1 1
39.10	2.304	730	0 1 3
40.46	2.230	402	0 2 2
69.17	1.358	402	2 2 4

Structure:
```
data_ErTcW
_cell_length_a 5.461
_cell_length_b 5.500
_cell_length_c 7.616
_cell_angle_alpha 90.00
_cell_angle_beta 90.00
_cell_angle_gamma 90.00
_symmetry_space_group_name_H-M 'I m m a'
_symmetry_Int_Tables_number 74
_symmetry_space_group_name_Hall '-I 2b 2'
loop_
_atom_site_label
_atom_site_fract_x
_atom_site_fract_y
_atom_site_fract_z
Er1 0.000 0.250 0.127
Tc1 0.000 0.000 0.500
W1 0.250 0.250 0.750
```



Record 3
Structure and theoretical powder diffractogram of Y3ErTc (the GGA-PBE geometry in Alexandria; Cu Kα).
Lines closer than 0.1° are merged.

The 6 most intense peaks (10° ≤ 2θ ≤ 90°), low angle first:
2θ (°)	d (Å)	Rel. int.	(hkl)
30.99	2.885	527	1 1 -3
32.01	2.796	421	3 1 -1
32.49	2.756	1000	2 0 3
33.33	2.688	576	3 1 0
34.96	2.567	377	2 0 -5
35.37	2.538	388	1 1 3

Structure:
```
data_Y3ErTc
_cell_length_a 12.049
_cell_length_b 3.907
_cell_length_c 12.846
_cell_angle_alpha 90.00
_cell_angle_beta 112.70
_cell_angle_gamma 90.00
_symmetry_space_group_name_H-M 'C 1 m 1'
_symmetry_Int_Tables_number 8
_symmetry_space_group_name_Hall 'C -2y'
loop_
_atom_site_label
_atom_site_fract_x
_atom_site_fract_y
_atom_site_fract_z
Y1 0.000 0.000 0.000
Y2 0.024 0.000 0.377
Y3 0.170 0.500 0.240
Y4 0.195 0.500 0.614
Y5 0.225 0.000 0.857
Y6 0.343 0.000 0.139
Er1 0.352 0.000 0.478
Er2 0.471 0.000 0.757
Tc1 0.025 0.000 0.612
Tc2 0.167 0.500 0.002
```



Record 4
Structure and theoretical powder diffractogram of Er5Zn2Tc (the GGA-PBE geometry in Alexandria; Cu Kα).
Lines closer than 0.1° are merged.

The 6 most intense peaks (10° ≤ 2θ ≤ 90°), low angle first:
2θ (°)	d (Å)	Rel. int.	(hkl)
27.21	3.278	357	1 2 1
34.20	2.622	950	2 1 1
34.99	2.564	1000	0 4 1
35.96	2.498	417	2 3 0
36.30	2.475	631	0 0 2
52.02	1.758	295	2 3 2

Structure:
```
data_Er5Zn2Tc
_cell_length_a 6.398
_cell_length_b 11.992
_cell_length_c 4.949
_cell_angle_alpha 90.00
_cell_angle_beta 90.00
_cell_angle_gamma 90.00
_symmetry_space_group_name_H-M 'P b a m'
_symmetry_Int_Tables_number 55
_symmetry_space_group_name_Hall '-P 2 2ab'
loop_
_atom_site_label
_atom_site_fract_x
_atom_site_fract_y
_atom_site_fract_z
Er1 0.000 0.000 0.000
Er2 0.142 0.284 0.000
Er3 0.161 0.605 0.500
Zn1 0.128 0.863 0.500
Tc1 0.000 0.500 0.000
```